# Cs3Cr2I9
Simulated PXRD pattern, copper Kα. Input: a PBE-relaxed structure.

Peak list (10 most intense, 5 to 70 degrees two-theta, sorted by position)
2θ = 10.87°, I 8, (0 1 2); 2θ = 12.54°, I 6, (1 1 0); 2θ = 24.50°, I 23, (0 0 6); 2θ = 25.23°, I 17, (2 2 0); 2θ = 28.10°, I 100, (2 2 3); 2θ = 35.45°, I 20, (2 2 6); 2θ = 44.45°, I 22, (6 0 0); 2θ = 45.41°, I 17, (2 2 9); 2θ = 51.40°, I 17, (6 0 6); 2θ = 53.42°, I 15, (4 4 3)

Cell and atoms:
```
data_Cs3Cr2I9
_space_group_name_H-M_alt 'R -3 c'
_space_group_IT_number 167
_space_group_name_Hall '-R 3 2"c'
_cell_length_a 14.1209
_cell_length_b 14.1209
_cell_length_c 21.8005
_cell_angle_alpha 90.00
_cell_angle_beta 90.00
_cell_angle_gamma 120.00
loop_
_atom_site_label
_atom_site_fract_x
_atom_site_fract_y
_atom_site_fract_z
_atom_site_occupancy
Cs1 0.0000 0.3341 0.2500 1
Cr1 0.0000 0.0000 0.1667 1
I1 0.0000 0.1520 0.7500 1
I2 0.0023 0.1627 0.1002 1
```

# Nd2CdRh2
Simulated PXRD pattern, copper Kα. Input: a PBE-relaxed structure.

Peak list (10 most intense, 5 to 70 degrees two-theta, sorted by position)
2θ = 32.60°, I 28, (2 0 1); 2θ = 33.43°, I 8, (2 2 0); 2θ = 34.74°, I 100, (2 1 1); 2θ = 37.52°, I 40, (3 1 0); 2θ = 45.51°, I 16, (0 0 2); 2θ = 51.12°, I 6, (3 3 0); 2θ = 55.00°, I 13, (4 1 1); 2θ = 56.44°, I 7, (3 3 1); 2θ = 60.40°, I 19, (3 1 2); 2θ = 67.21°, I 8, (5 1 1)

Cell and atoms:
```
data_Nd2CdRh2
_space_group_name_H-M_alt 'P 4/m b m'
_space_group_IT_number 127
_space_group_name_Hall '-P 4 2ab'
_cell_length_a 7.5803
_cell_length_b 7.5803
_cell_length_c 3.9863
_cell_angle_alpha 90.00
_cell_angle_beta 90.00
_cell_angle_gamma 90.00
loop_
_atom_site_label
_atom_site_fract_x
_atom_site_fract_y
_atom_site_fract_z
_atom_site_occupancy
Nd1 0.1703 0.3297 0.0000 1
Cd1 0.0000 0.0000 0.5000 1
Rh1 0.1316 0.6316 0.5000 1
```

# Na3NbO4
Simulated PXRD pattern, copper Kα. Input: a PBE-relaxed structure.

Peak list (10 most intense, 5 to 70 degrees two-theta, sorted by position)
2θ = 10.69°, I 20, (1 1 0); 2θ = 13.43°, I 14, (0 2 0); 2θ = 16.14°, I 48, (0 0 1); 2θ = 16.92°, I 13, (1 1 -1); 2θ = 21.48°, I 14, (2 2 0); 2θ = 23.35°, I 12, (2 2 -1); 2θ = 33.27°, I 24, (2 4 -1); 2θ = 38.55°, I 100, (2 4 1); 2θ = 54.93°, I 18, (2 4 -3); 2θ = 56.39°, I 18, (6 4 -1)

Cell and atoms:
```
data_Na3NbO4
_space_group_name_H-M_alt 'C 1 2/m 1'
_space_group_IT_number 12
_cell_length_a 11.2674
_cell_length_b 13.1828
_cell_length_c 5.8189
_cell_angle_alpha 90.00
_cell_angle_beta 109.35
_cell_angle_gamma 90.00
loop_
_space_group_symop_operation_xyz
'x,y,z'
'-x,-y,-z'
'-x,y,-z'
'x,-y,z'
'x+1/2,y+1/2,z'
'-x+1/2,-y+1/2,-z'
'-x+1/2,y+1/2,-z'
'x+1/2,-y+1/2,z'
loop_
_atom_site_label
_atom_site_fract_x
_atom_site_fract_y
_atom_site_fract_z
_atom_site_occupancy
Na1 0.0000 0.0000 0.0000 1
Na2 0.0000 0.1239 0.5000 1
Na3 0.0000 0.2409 0.0000 1
Na4 0.0000 0.5000 0.0000 1
Na5 0.2445 0.3740 0.0210 1
Na6 0.2500 0.2500 0.5000 1
Nb1 0.0000 0.3663 0.5000 1
Nb2 0.2393 0.0000 0.4673 1
O1 0.1036 0.2712 0.7268 1
O2 0.1128 0.5000 0.6985 1
O3 0.1201 0.3882 0.3104 1
O4 0.1456 0.1082 0.2660 1
O5 0.1557 0.0000 0.7053 1
```

# UB4W
Simulated PXRD pattern, copper Kα. Input: a PBE-relaxed structure.

Peak list (10 most intense, 5 to 70 degrees two-theta, sorted by position)
2θ = 24.34°, I 91, (0 0 1); 2θ = 30.96°, I 84, (0 4 0); 2θ = 34.48°, I 21, (1 4 0); 2θ = 37.09°, I 17, (1 3 1); 2θ = 38.16°, I 24, (2 3 0); 2θ = 39.77°, I 100, (0 4 1); 2θ = 42.66°, I 27, (1 4 1); 2θ = 45.78°, I 32, (2 3 1); 2θ = 49.89°, I 26, (0 0 2); 2θ = 59.88°, I 27, (0 4 2)

Cell and atoms:
```
data_UB4W
_space_group_name_H-M_alt 'P b a m'
_space_group_IT_number 55
_cell_length_a 5.9625
_cell_length_b 11.5647
_cell_length_c 3.6562
_cell_angle_alpha 90.00
_cell_angle_beta 90.00
_cell_angle_gamma 90.00
loop_
_space_group_symop_operation_xyz
'x,y,z'
'-x,-y,-z'
'-x,-y,z'
'x,y,-z'
'x+1/2,-y+1/2,-z'
'-x+1/2,y+1/2,z'
'-x+1/2,y+1/2,-z'
'x+1/2,-y+1/2,z'
loop_
_atom_site_label
_atom_site_fract_x
_atom_site_fract_y
_atom_site_fract_z
_atom_site_occupancy
U1 0.1286 0.1504 0.0000 1
B1 0.0245 0.6935 0.5000 1
B2 0.1152 0.5473 0.5000 1
B3 0.1319 0.9682 0.5000 1
B4 0.2070 0.8116 0.5000 1
W1 0.1376 0.4088 0.0000 1
```

# NaCrN2
Simulated PXRD pattern, copper Kα. Input: a PBE-relaxed structure.

Peak list (10 most intense, 5 to 70 degrees two-theta, sorted by position)
2θ = 20.39°, I 51, (1 0 1); 2θ = 32.82°, I 100, (1 1 2); 2θ = 35.12°, I 25, (2 0 0); 2θ = 40.95°, I 5, (2 1 1); 2θ = 43.49°, I 5, (0 0 4); 2θ = 50.51°, I 13, (2 2 0); 2θ = 51.83°, I 7, (2 1 3); 2θ = 57.08°, I 22, (2 0 4); 2θ = 61.55°, I 26, (3 1 2); 2θ = 68.81°, I 8, (2 2 4)

Cell and atoms:
```
data_NaCrN2
_space_group_name_H-M_alt 'I -4 2 d'
_space_group_IT_number 122
_space_group_name_Hall 'I -4 2bw'
_cell_length_a 5.1110
_cell_length_b 5.1110
_cell_length_c 8.3227
_cell_angle_alpha 90.00
_cell_angle_beta 90.00
_cell_angle_gamma 90.00
loop_
_atom_site_label
_atom_site_fract_x
_atom_site_fract_y
_atom_site_fract_z
_atom_site_occupancy
Na1 0.0000 0.0000 0.0000 1
Cr1 0.0000 0.0000 0.5000 1
N1 0.1334 0.2500 0.6250 1
```

# CeZnGa3
Simulated PXRD pattern, copper Kα. Input: a PBE-relaxed structure.

Peak list (10 most intense, 5 to 70 degrees two-theta, sorted by position)
2θ = 29.50°, I 16, (1 1 0); 2θ = 32.57°, I 61, (1 0 3); 2θ = 33.97°, I 100, (1 1 2); 2θ = 42.20°, I 56, (2 0 0); 2θ = 45.09°, I 11, (1 1 4); 2θ = 47.28°, I 31, (1 0 5); 2θ = 54.30°, I 28, (2 1 3); 2θ = 59.96°, I 11, (1 1 6); 2θ = 61.21°, I 18, (2 2 0); 2θ = 65.22°, I 23, (2 1 5)

Cell and atoms:
```
data_CeZnGa3
_space_group_name_H-M_alt 'I -4 m 2'
_space_group_IT_number 119
_space_group_name_Hall 'I -4 -2'
_cell_length_a 4.2828
_cell_length_b 4.2828
_cell_length_c 10.7567
_cell_angle_alpha 90.00
_cell_angle_beta 90.00
_cell_angle_gamma 90.00
loop_
_atom_site_label
_atom_site_fract_x
_atom_site_fract_y
_atom_site_fract_z
_atom_site_occupancy
Ce1 0.0000 0.0000 0.0000 1
Zn1 0.0000 0.5000 0.7500 1
Ga1 0.0000 0.0000 0.3845 1
Ga2 0.0000 0.5000 0.2500 1
```

# LiY3Si2O8F2
Simulated PXRD pattern, copper Kα. Input: a PBE-relaxed structure.

Peak list (10 most intense, 5 to 70 degrees two-theta, sorted by position)
2θ = 13.16°, I 29, (2 0 0); 2θ = 23.58°, I 100, (1 1 1); 2θ = 26.50°, I 21, (4 0 0); 2θ = 29.08°, I 48, (3 1 -3); 2θ = 30.63°, I 38, (6 0 -2); 2θ = 32.04°, I 70, (5 1 -3); 2θ = 33.10°, I 42, (5 1 -1); 2θ = 33.27°, I 26, (2 0 -4); 2θ = 45.06°, I 24, (7 1 -1); 2θ = 48.24°, I 31, (6 2 -2)

Cell and atoms:
```
data_LiY3Si2O8F2
_space_group_name_H-M_alt 'C 1 2/c 1'
_space_group_IT_number 15
_cell_length_a 17.8603
_cell_length_b 4.9449
_cell_length_c 11.7542
_cell_angle_alpha 90.00
_cell_angle_beta 131.12
_cell_angle_gamma 90.00
loop_
_space_group_symop_operation_xyz
'x,y,z'
'-x,-y,-z'
'-x,y,-z+1/2'
'x,-y,z+1/2'
'x+1/2,y+1/2,z'
'-x+1/2,-y+1/2,-z'
'-x+1/2,y+1/2,-z+1/2'
'x+1/2,-y+1/2,z+1/2'
loop_
_atom_site_label
_atom_site_fract_x
_atom_site_fract_y
_atom_site_fract_z
_atom_site_occupancy
Li1 0.2500 0.2500 0.0000 1
Y1 0.0000 0.2129 0.7500 1
Y2 0.1238 0.2034 0.5915 1
Si1 0.1398 0.2270 0.2935 1
O1 0.0356 0.0851 0.1393 1
O2 0.1313 0.4426 0.7849 1
O3 0.1487 0.0805 0.4286 1
O4 0.2241 0.1049 0.2902 1
F1 0.0758 0.3915 0.9786 1
```